# Bi4Rh
Computed X-ray powder pattern, Cu Kα X-rays. Input: a DFT-relaxed cell (GGA-PBE, Alexandria).
Intensities are scaled so that the largest is 100.

Top 10 peaks for 2θ from 10° to 90°, low angle first:
2theta, d/Å, I_rel
14.29, 6.197, 23
27.56, 3.236, 100
28.82, 3.098, 34
30.02, 2.977, 70
32.30, 2.771, 82
36.49, 2.462, 81
42.97, 2.105, 74
44.68, 2.028, 21
57.61, 1.600, 30
60.37, 1.533, 33

Atomic structure:
Cell: 13.145 13.145 13.145 Å, 109.47 109.47 109.47°
Element x y z (fractional)
Bi 0.039 0.216 0.128
Bi 0.039 0.323 0.911
Bi 0.087 0.716 0.677
Bi 0.087 0.872 0.411
Bi 0.089 0.628 0.413
Bi 0.089 0.961 0.677
Bi 0.128 0.039 0.216
Bi 0.128 0.589 0.913
Bi 0.177 0.216 0.587
Bi 0.177 0.461 0.589
Bi 0.216 0.128 0.039
Bi 0.216 0.587 0.177
Bi 0.284 0.323 0.913
Bi 0.284 0.461 0.372
Bi 0.323 0.911 0.039
Bi 0.323 0.913 0.284
Bi 0.372 0.284 0.461
Bi 0.372 0.587 0.911
Bi 0.411 0.087 0.872
Bi 0.411 0.823 0.539
Bi 0.413 0.089 0.628
Bi 0.413 0.823 0.784
Bi 0.461 0.372 0.284
Bi 0.461 0.589 0.177
Bi 0.539 0.411 0.823
Bi 0.539 0.628 0.716
Bi 0.587 0.177 0.216
Bi 0.587 0.911 0.372
Bi 0.589 0.177 0.461
Bi 0.589 0.913 0.128
Bi 0.628 0.413 0.089
Bi 0.628 0.716 0.539
Bi 0.677 0.087 0.716
Bi 0.677 0.089 0.961
Bi 0.716 0.539 0.628
Bi 0.716 0.677 0.087
Bi 0.784 0.413 0.823
Bi 0.784 0.872 0.961
Bi 0.823 0.539 0.411
Bi 0.823 0.784 0.413
Bi 0.872 0.411 0.087
Bi 0.872 0.961 0.784
Bi 0.911 0.039 0.323
Bi 0.911 0.372 0.587
Bi 0.913 0.128 0.589
Bi 0.913 0.284 0.323
Bi 0.961 0.677 0.089
Bi 0.961 0.784 0.872
Rh 0.125 0.250 0.375
Rh 0.125 0.375 0.750
Rh 0.250 0.375 0.125
Rh 0.250 0.875 0.625
Rh 0.375 0.125 0.250
Rh 0.375 0.750 0.125
Rh 0.625 0.250 0.875
Rh 0.625 0.875 0.750
Rh 0.750 0.125 0.375
Rh 0.750 0.625 0.875
Rh 0.875 0.625 0.250
Rh 0.875 0.750 0.625